For Na4CeO4, a PBE-relaxed structure gives the theoretical powder X-ray diffraction pattern in this record (Cu Kα (weighted mean of Kα1 and Kα2)).
No peak broadening, texture or thermal motion is included.

Top 12 peaks for 2θ = 15–90°, most intense first:
- 15.7°, intensity 1000
- 36.1°, intensity 846
- 31.7°, intensity 529
- 38.8°, intensity 356
- 27.4°, intensity 315
- 54.5°, intensity 239
- 42.1°, intensity 238
- 26.7°, intensity 224
- 53.6°, intensity 213
- 27.3°, intensity 207
- 18.2°, intensity 197
- 32.5°, intensity 185

Structural model:
```
Na4CeO4
1.0
5.7567 -1.7776 0.0000
5.7567 1.7776 0.0000
-4.4028 0.0000 7.0076
Na Ce O
4 1 4
Direct
0.1346 0.1346 0.3963
0.2948 0.2948 0.1808
0.7052 0.7052 0.8192
0.8654 0.8654 0.6037
0.5000 0.5000 0.0000
0.0741 0.0741 0.8931
0.3005 0.3005 0.7231
0.6995 0.6995 0.2769
0.9259 0.9259 0.1069
```